(1)
AlFe3C: calculated X-ray powder pattern (Cu Kα, 1.54184 Å), based on a cell relaxed with GGA-PBE.

Crystal structure
Cell lengths 3.756, 3.756, 3.756 Å; angles 90.00, 90.00, 90.00 degrees
Fractional positions:
Al (0.000, 0.000, 0.000)
Fe (0.000, 0.500, 0.500)
Fe (0.500, 0.000, 0.500)
Fe (0.500, 0.500, 0.000)
C (0.500, 0.500, 0.500)

Peak list (6 most intense, 2θ from 10° to 80°, by intensity)
2θ 41.65, rel. 1000; 2θ 48.48, rel. 565; 2θ 70.98, rel. 325; 2θ 23.69, rel. 179; 2θ 54.64, rel. 54; 2θ 33.75, rel. 33

---

(2)
Sm2Al2Fe15C: calculated X-ray powder pattern (Cu Kα, 1.54184 Å), based on a cell relaxed with GGA-PBE.

Crystal structure
Cell lengths 6.490, 6.490, 6.470 Å; angles 97.03, 97.03, 82.83 degrees
Fractional positions:
Sm (0.154, 0.154, 0.360)
Sm (0.846, 0.846, 0.640)
Al (0.396, 0.396, 0.103)
Al (0.604, 0.604, 0.897)
Fe (0.000, 0.500, 0.000)
Fe (0.156, 0.156, 0.852)
Fe (0.158, 0.650, 0.344)
Fe (0.215, 0.785, 0.000)
Fe (0.216, 0.501, 0.716)
Fe (0.350, 0.842, 0.656)
Fe (0.499, 0.784, 0.284)
Fe (0.500, 0.000, 0.000)
Fe (0.500, 0.500, 0.500)
Fe (0.501, 0.216, 0.716)
Fe (0.650, 0.158, 0.344)
Fe (0.784, 0.499, 0.284)
Fe (0.785, 0.215, 0.000)
Fe (0.842, 0.350, 0.656)
Fe (0.844, 0.844, 0.148)
C (0.000, 0.000, 0.000)

Peak list (6 most intense, 2θ from 10° to 80°, by intensity)
2θ 42.10, rel. 1000; 2θ 42.35, rel. 863; 2θ 42.45, rel. 800; 2θ 43.31, rel. 730; 2θ 36.24, rel. 504; 2θ 29.81, rel. 489

---

(3)
GdAl3C3: calculated X-ray powder pattern (Cu Kα, 1.54184 Å), based on a cell relaxed with GGA-PBE.

Crystal structure
Cell lengths 3.450, 3.450, 17.445 Å; angles 90.00, 90.00, 120.00 degrees
Fractional positions:
Gd (0.000, 0.000, 0.000)
Gd (0.000, 0.000, 0.500)
Al (0.333, 0.667, 0.134)
Al (0.333, 0.667, 0.366)
Al (0.333, 0.667, 0.750)
Al (0.667, 0.333, 0.250)
Al (0.667, 0.333, 0.634)
Al (0.667, 0.333, 0.866)
C (0.333, 0.667, 0.250)
C (0.333, 0.667, 0.595)
C (0.333, 0.667, 0.905)
C (0.667, 0.333, 0.095)
C (0.667, 0.333, 0.405)
C (0.667, 0.333, 0.750)

Peak list (6 most intense, 2θ from 10° to 80°, by intensity)
2θ 10.14, rel. 1000; 2θ 31.65, rel. 992; 2θ 36.45, rel. 655; 2θ 43.43, rel. 414; 2θ 53.09, rel. 262; 2θ 20.36, rel. 247

---

(4)
KAlH2CO5: calculated X-ray powder pattern (Cu Kα, 1.54184 Å), based on a cell relaxed with GGA-PBE.

Crystal structure
Cell lengths 6.815, 6.815, 5.722 Å; angles 90.00, 90.00, 123.41 degrees
Fractional positions:
K (0.153, 0.847, 0.750)
K (0.847, 0.153, 0.250)
Al (0.500, 0.500, 0.000)
Al (0.500, 0.500, 0.500)
H (0.136, 0.302, 0.750)
H (0.302, 0.136, 0.250)
H (0.698, 0.864, 0.750)
H (0.864, 0.698, 0.250)
C (0.288, 0.712, 0.250)
C (0.712, 0.288, 0.750)
O (0.181, 0.819, 0.250)
O (0.289, 0.319, 0.750)
O (0.319, 0.289, 0.250)
O (0.342, 0.658, 0.052)
O (0.342, 0.658, 0.448)
O (0.658, 0.342, 0.552)
O (0.658, 0.342, 0.948)
O (0.681, 0.711, 0.750)
O (0.711, 0.681, 0.250)
O (0.819, 0.181, 0.750)

Peak list (6 most intense, 2θ from 10° to 80°, by intensity)
2θ 27.61, rel. 1000; 2θ 15.58, rel. 744; 2θ 35.11, rel. 683; 2θ 53.85, rel. 624; 2θ 26.20, rel. 622; 2θ 44.94, rel. 528

---

Question: What is the formula in the second record?
Answer: Sm2Al2Fe15C